Simulated PXRD pattern
Compound: YAlCu3
Radiation: a wavelength of 1.5418 Å
Structure: DFT lattice parameters and positions (PBE)

The 10 most intense peaks (2θ from 10° to 80°), low angle first:
32.0 deg, d = 2.799 Å, I = 51
32.4 deg, d = 2.763 Å, I = 54
34.0 deg, d = 2.638 Å, I = 48
38.8 deg, d = 2.321 Å, I = 55
39.0 deg, d = 2.312 Å, I = 62
39.7 deg, d = 2.273 Å, I = 68
40.4 deg, d = 2.234 Å, I = 78
42.9 deg, d = 2.110 Å, I = 100
43.8 deg, d = 2.065 Å, I = 80
71.5 deg, d = 1.319 Å, I = 29

abc: 6.345 6.345 6.345
angles: 132.58 112.68 86.44
Fractional positions:
Y 0.258 0.008 0.250
Y 0.742 0.992 0.750
Al 0.000 0.500 0.500
Al 0.500 0.500 0.000
Cu 0.193 0.000 0.693
Cu 0.193 0.500 0.193
Cu 0.434 0.684 0.750
Cu 0.566 0.316 0.250
Cu 0.807 0.000 0.307
Cu 0.807 0.500 0.807